Entry 1:
ErTeAuO: calculated XRD peak list (Cu Kα X-rays), based on a PBE-relaxed structure.
No peak broadening, texture or thermal motion is included.

Structural model:
```
ErTeAuO
1.0
10.080 0.000 0.000
0.000 5.643 0.000
0.000 0.000 5.643
Er Te Au O
4 4 4 4
Cartesian
1.053 5.642 1.411 Er
1.053 2.822 4.232 Er
9.027 0.001 4.232 Er
9.027 2.821 1.411 Er
2.858 0.003 4.232 Te
2.858 2.818 1.411 Te
7.222 2.825 4.232 Te
7.222 5.640 1.411 Te
5.030 4.232 0.000 Au
5.030 4.232 2.822 Au
5.051 1.411 0.000 Au
5.051 1.411 2.822 Au
0.000 1.411 0.000 O
0.000 1.411 2.822 O
0.000 4.232 0.000 O
0.000 4.232 2.822 O
```

Top 8 peaks for 5° ≤ 2θ ≤ 70°, by angle:
2θ = 8.8°, rel. 30; 2θ = 28.5°, rel. 79; 2θ = 33.0°, rel. 100; 2θ = 34.9°, rel. 67; 2θ = 36.5°, rel. 76; 2θ = 45.5°, rel. 64; 2θ = 48.4°, rel. 32; 2θ = 65.9°, rel. 35

=====

Entry 2:
ErTeAuO: calculated XRD peak list (Cu Kα X-rays), based on a PBE-relaxed structure.
No peak broadening, texture or thermal motion is included.

Structural model:
```
ErTeAuO
1.0
5.636 0.000 0.000
0.000 5.636 0.000
0.000 0.000 10.092
Er Te Au O
4 4 4 4
Cartesian
0.000 0.000 0.000 Er
0.000 2.818 2.110 Er
2.818 0.000 2.110 Er
2.818 2.818 0.000 Er
0.000 0.000 3.917 Te
0.000 2.818 8.297 Te
2.818 0.000 8.297 Te
2.818 2.818 3.917 Te
1.248 1.570 6.080 Au
1.570 4.388 6.080 Au
4.066 1.248 6.080 Au
4.388 4.066 6.080 Au
1.406 1.412 1.058 O
1.412 4.230 1.058 O
4.224 1.406 1.058 O
4.230 4.224 1.058 O
```

Top 8 peaks for 5° ≤ 2θ ≤ 70°, by angle:
2θ = 28.5°, rel. 85; 2θ = 33.0°, rel. 100; 2θ = 34.9°, rel. 74; 2θ = 36.5°, rel. 76; 2θ = 44.9°, rel. 35; 2θ = 45.5°, rel. 63; 2θ = 58.6°, rel. 35; 2θ = 65.9°, rel. 35

=====

Entry 3:
ErPbAuSe3: calculated XRD peak list (Cu Kα X-rays), based on a PBE-relaxed structure.
No peak broadening, texture or thermal motion is included.

Structural model:
```
ErPbAuSe3
1.0
2.025 -6.941 0.000
2.025 6.941 0.000
0.000 0.000 10.558
Er Pb Au Se
2 2 2 6
Cartesian
0.000 0.000 0.000 Er
0.000 0.000 5.279 Er
2.025 3.681 7.919 Pb
2.025 -3.681 2.640 Pb
2.025 0.533 2.640 Au
2.025 -0.533 7.919 Au
2.025 5.701 2.640 Se
2.025 2.001 0.491 Se
2.025 2.001 4.788 Se
2.025 -2.001 5.770 Se
2.025 -2.001 10.067 Se
2.025 -5.701 7.919 Se
```

Top 8 peaks for 5° ≤ 2θ ≤ 70°, by angle:
2θ = 28.5°, rel. 15; 2θ = 30.5°, rel. 63; 2θ = 34.0°, rel. 100; 2θ = 39.1°, rel. 23; 2θ = 42.7°, rel. 16; 2θ = 43.1°, rel. 17; 2θ = 44.8°, rel. 20; 2θ = 52.7°, rel. 19

=====

Entry 4:
ErPbAuSe3: calculated XRD peak list (Cu Kα X-rays), based on a PBE-relaxed structure.
No peak broadening, texture or thermal motion is included.

Structural model:
```
ErPbAuSe3
1.0
10.931 0.000 0.000
0.000 4.103 0.000
0.000 0.000 13.497
Er Pb Au Se
4 4 4 12
Cartesian
0.318 1.026 3.286 Er
5.148 3.077 10.035 Er
5.783 1.026 3.462 Er
10.613 3.077 10.211 Er
2.516 3.077 6.745 Pb
2.950 1.026 13.494 Pb
7.981 3.077 0.003 Pb
8.415 1.026 6.752 Pb
2.575 1.026 9.360 Au
2.891 3.077 2.611 Au
8.040 1.026 10.886 Au
8.356 3.077 4.137 Au
0.220 1.026 8.301 Se
0.726 3.077 1.303 Se
2.464 3.077 11.243 Se
3.001 1.026 4.494 Se
4.740 1.026 8.052 Se
5.246 3.077 1.553 Se
5.685 1.026 11.945 Se
6.191 3.077 5.445 Se
7.930 3.077 9.003 Se
8.467 1.026 2.255 Se
10.205 1.026 12.194 Se
10.711 3.077 5.196 Se
```

Top 8 peaks for 5° ≤ 2θ ≤ 70°, by angle:
2θ = 28.0°, rel. 21; 2θ = 30.6°, rel. 100; 2θ = 32.8°, rel. 37; 2θ = 33.8°, rel. 47; 2θ = 38.6°, rel. 42; 2θ = 43.5°, rel. 40; 2θ = 44.1°, rel. 28; 2θ = 63.7°, rel. 23

=====

Entry 5:
SmErAu2: calculated XRD peak list (Cu Kα X-rays), based on a PBE-relaxed structure.
No peak broadening, texture or thermal motion is included.

Structural model:
```
SmErAu2
1.0
4.677 0.000 0.000
0.000 3.732 0.000
0.000 0.000 11.008
Sm Er Au
2 2 4
Cartesian
0.000 0.000 0.000 Sm
0.000 1.866 5.504 Sm
2.339 0.000 7.932 Er
2.339 1.866 2.428 Er
0.000 0.000 2.985 Au
0.000 1.866 8.489 Au
2.339 0.000 4.943 Au
2.339 1.866 10.447 Au
```

Top 8 peaks for 5° ≤ 2θ ≤ 70°, by angle:
2θ = 31.7°, rel. 100; 2θ = 32.5°, rel. 33; 2θ = 37.9°, rel. 28; 2θ = 38.5°, rel. 37; 2θ = 39.5°, rel. 82; 2θ = 48.8°, rel. 19; 2θ = 51.3°, rel. 19; 2θ = 63.8°, rel. 17

=====

Entry 6:
ErZrAu: calculated XRD peak list (Cu Kα X-rays), based on a PBE-relaxed structure.
No peak broadening, texture or thermal motion is included.

Structural model:
```
ErZrAu
1.0
4.859 0.000 0.000
-2.429 4.208 0.000
0.000 0.000 6.976
Er Zr Au
2 2 2
Cartesian
0.000 0.000 1.672 Er
0.000 0.000 5.304 Er
0.000 2.805 0.000 Zr
0.000 2.805 3.488 Zr
2.429 1.403 1.992 Au
2.429 1.403 4.984 Au
```

Top 8 peaks for 5° ≤ 2θ ≤ 70°, by angle:
2θ = 25.5°, rel. 25; 2θ = 33.4°, rel. 89; 2θ = 37.0°, rel. 100; 2θ = 45.5°, rel. 34; 2θ = 50.7°, rel. 27; 2θ = 64.4°, rel. 26; 2θ = 65.9°, rel. 25; 2θ = 66.7°, rel. 18

=====

Entry 7:
AuF4: calculated XRD peak list (Cu Kα X-rays), based on a PBE-relaxed structure.
No peak broadening, texture or thermal motion is included.

Structural model:
```
AuF4
1.0
4.032 -3.384 0.000
4.032 3.384 0.000
-1.770 0.000 7.844
Au F
4 16
Cartesian
0.000 0.000 0.000 Au
-0.885 0.000 3.922 Au
4.032 0.000 0.000 Au
3.148 0.000 3.922 Au
2.218 1.765 3.170 F
-0.255 0.307 6.700 F
1.730 1.799 6.749 F
0.630 -0.307 2.778 F
2.569 0.239 1.223 F
3.681 1.799 5.017 F
4.963 1.765 0.752 F
1.685 -0.239 5.145 F
4.611 0.239 2.699 F
1.333 -1.765 7.092 F
2.614 -1.799 2.827 F
3.726 -0.239 6.621 F
5.665 0.307 5.066 F
4.566 -1.799 1.095 F
6.550 -0.307 1.144 F
4.078 -1.765 4.673 F
```

Top 8 peaks for 5° ≤ 2θ ≤ 70°, by angle:
2θ = 22.6°, rel. 100; 2θ = 26.3°, rel. 37; 2θ = 28.4°, rel. 33; 2θ = 35.0°, rel. 64; 2θ = 35.7°, rel. 18; 2θ = 44.9°, rel. 34; 2θ = 54.6°, rel. 26; 2θ = 59.5°, rel. 16

=====

Entry 8:
MgHAu2F11: calculated XRD peak list (Cu Kα X-rays), based on a PBE-relaxed structure.
No peak broadening, texture or thermal motion is included.

Structural model:
```
MgHAu2F11
1.0
5.071 0.000 0.000
0.000 14.721 0.000
-0.088 0.000 9.686
Mg H Au F
4 4 8 44
Cartesian
0.156 3.406 0.939 Mg
0.112 3.955 5.782 Mg
4.871 10.766 3.905 Mg
4.827 11.315 8.748 Mg
-0.019 8.658 9.094 H
0.025 13.423 4.251 H
4.959 1.298 5.435 H
5.002 6.062 0.592 H
1.478 0.289 2.458 Au
1.434 7.071 7.301 Au
2.318 10.511 6.263 Au
2.362 11.570 1.420 Au
2.622 3.150 8.266 Au
2.666 4.210 3.423 Au
3.549 7.649 2.386 Au
3.506 14.432 7.229 Au
-0.022 0.107 6.060 F
0.022 7.253 1.217 F
0.060 9.568 9.529 F
0.104 12.513 4.686 F
0.283 1.583 1.641 F
0.239 5.777 6.484 F
0.595 11.007 7.024 F
0.639 11.074 2.181 F
0.664 8.339 6.072 F
0.708 13.742 1.229 F
0.961 2.595 9.092 F
1.005 4.766 4.249 F
1.504 10.214 4.536 F
1.460 11.868 9.379 F
1.766 3.415 6.535 F
1.809 3.945 1.692 F
2.104 7.950 3.601 F
2.061 14.131 8.444 F
2.232 1.610 3.679 F
2.188 5.750 8.522 F
2.458 1.062 6.360 F
2.502 6.298 1.517 F
2.482 8.422 8.170 F
2.526 13.659 3.326 F
2.795 8.971 1.164 F
2.751 13.111 6.007 F
2.923 0.590 1.242 F
2.879 6.771 6.085 F
3.174 10.776 7.995 F
3.218 11.305 3.151 F
3.524 2.853 0.307 F
3.480 4.507 5.150 F
3.979 9.955 5.438 F
4.022 12.126 0.595 F
4.276 0.979 8.457 F
4.319 6.382 3.614 F
4.344 3.646 7.505 F
4.388 3.714 2.662 F
4.744 8.944 3.202 F
4.701 13.137 8.045 F
4.880 2.208 5.001 F
4.923 5.153 0.158 F
4.962 7.468 8.469 F
5.006 14.614 3.626 F
```

Top 8 peaks for 5° ≤ 2θ ≤ 70°, by angle:
2θ = 17.5°, rel. 61; 2θ = 18.3°, rel. 72; 2θ = 20.6°, rel. 61; 2θ = 20.7°, rel. 100; 2θ = 24.2°, rel. 72; 2θ = 25.9°, rel. 72; 2θ = 26.9°, rel. 51; 2θ = 31.5°, rel. 58

=====

Entry 9:
HgAu2F12: calculated XRD peak list (Cu Kα X-rays), based on a PBE-relaxed structure.
No peak broadening, texture or thermal motion is included.

Structural model:
```
HgAu2F12
1.0
8.895 0.000 0.000
0.000 9.044 0.000
0.000 0.000 9.119
Hg Au F
4 8 48
Cartesian
0.000 0.851 2.280 Hg
0.000 8.193 6.839 Hg
4.447 3.671 6.839 Hg
4.447 5.373 2.280 Hg
2.093 3.166 0.049 Au
2.093 5.878 4.608 Au
2.355 1.356 4.608 Au
2.355 7.688 0.049 Au
6.540 1.356 9.070 Au
6.540 7.688 4.510 Au
6.802 3.166 4.510 Au
6.802 5.878 9.070 Au
0.723 2.759 7.900 F
0.723 6.285 3.341 F
0.848 4.165 1.125 F
0.848 4.879 5.684 F
0.861 0.961 5.797 F
0.861 8.084 1.238 F
1.037 2.419 3.608 F
1.037 6.625 8.168 F
1.811 1.590 1.139 F
1.811 7.454 5.698 F
1.867 0.139 8.039 F
1.867 8.905 3.480 F
2.580 4.383 3.480 F
2.580 4.661 8.039 F
2.637 2.932 5.698 F
2.637 6.112 1.139 F
3.410 2.103 8.168 F
3.410 6.941 3.608 F
3.586 3.562 1.238 F
3.586 5.483 5.797 F
3.599 0.357 5.684 F
3.599 8.687 1.125 F
3.724 1.763 3.341 F
3.724 7.281 7.900 F
5.170 1.763 1.219 F
5.170 7.281 5.778 F
5.295 0.357 7.994 F
5.295 8.687 3.435 F
5.308 3.562 3.321 F
5.308 5.483 7.881 F
5.484 2.103 5.510 F
5.484 6.941 0.951 F
6.258 2.932 7.980 F
6.258 6.112 3.420 F
6.315 4.383 1.080 F
6.315 4.661 5.639 F
7.027 0.139 5.639 F
7.027 8.905 1.080 F
7.084 1.590 3.420 F
7.084 7.454 7.980 F
7.858 2.419 0.951 F
7.858 6.625 5.510 F
8.034 0.961 7.881 F
8.034 8.084 3.321 F
8.046 4.165 3.435 F
8.046 4.879 7.994 F
8.171 2.759 5.778 F
8.171 6.285 1.219 F
```

Top 8 peaks for 5° ≤ 2θ ≤ 70°, by angle:
2θ = 14.0°, rel. 19; 2θ = 17.0°, rel. 13; 2θ = 24.1°, rel. 100; 2θ = 28.0°, rel. 70; 2θ = 37.0°, rel. 26; 2θ = 37.6°, rel. 18; 2θ = 47.3°, rel. 19; 2θ = 49.4°, rel. 18

=====

Entry 10:
Au4IF3: calculated XRD peak list (Cu Kα X-rays), based on a PBE-relaxed structure.
No peak broadening, texture or thermal motion is included.

Structural model:
```
Au4IF3
1.0
5.768 0.000 0.000
0.000 5.891 0.000
0.000 0.000 9.419
Au I F
8 2 6
Cartesian
0.000 1.459 0.000 Au
0.000 4.432 0.000 Au
1.424 2.945 4.112 Au
1.459 0.000 4.112 Au
2.884 1.486 0.000 Au
2.884 4.404 0.000 Au
4.308 0.000 4.112 Au
4.343 2.945 4.112 Au
0.000 0.000 6.263 I
2.884 2.945 6.263 I
0.000 0.000 1.551 F
0.000 2.945 2.440 F
0.000 2.945 7.892 F
2.884 0.000 2.440 F
2.884 0.000 7.892 F
2.884 2.945 1.551 F
```

Top 8 peaks for 5° ≤ 2θ ≤ 70°, by angle:
2θ = 18.8°, rel. 95; 2θ = 28.4°, rel. 24; 2θ = 31.8°, rel. 100; 2θ = 32.5°, rel. 83; 2θ = 42.1°, rel. 23; 2θ = 42.6°, rel. 39; 2θ = 43.9°, rel. 24; 2θ = 48.2°, rel. 73